TlIn2Sb: calculated XRD peak list (copper Kα), based on a crystal structure in Alexandria, relaxed with GGA-PBE.
Kinematic intensities with the Lorentz-polarization factor, no thermal factor.

Principal peaks in the range 5 to 70 degrees two-theta, low angle first:
- 32.34°, intensity 100
- 34.24°, intensity 21
- 34.66°, intensity 21
- 43.09°, intensity 11
- 49.52°, intensity 15
- 60.12°, intensity 16
- 60.67°, intensity 16
- 67.71°, intensity 11

Structural model:
a = 3.3320 Å, b = 3.3320 Å, c = 10.4743 Å
α = 90.00°, β = 90.00°, γ = 101.90°
Positions (direct):
1 Tl 0.0000 0.0000 0.0000
2 In 0.0000 0.0000 0.4957
3 In 0.5000 0.5000 0.7387
4 Sb 0.5000 0.5000 0.2585

=====

Tl15In2Sb2: calculated XRD peak list (copper Kα), based on a crystal structure in Alexandria, relaxed with GGA-PBE.
Kinematic intensities with the Lorentz-polarization factor, no thermal factor.

Principal peaks in the range 5 to 70 degrees two-theta, low angle first:
- 15.59°, intensity 32
- 31.30°, intensity 25
- 31.46°, intensity 100
- 35.16°, intensity 32
- 35.29°, intensity 79
- 56.08°, intensity 22
- 58.32°, intensity 18
- 67.98°, intensity 19

Structural model:
a = 8.7000 Å, b = 8.7000 Å, c = 8.7000 Å
α = 81.53°, β = 81.53°, γ = 81.53°
Positions (direct):
1 Tl 0.0000 0.0000 0.5000
2 Tl 0.0000 0.3120 0.6880
3 Tl 0.0000 0.5000 0.0000
4 Tl 0.0000 0.6880 0.3120
5 Tl 0.1528 0.6581 0.6581
6 Tl 0.3120 0.0000 0.6880
7 Tl 0.3120 0.6880 0.0000
8 Tl 0.3419 0.3419 0.8472
9 Tl 0.3419 0.8472 0.3419
10 Tl 0.5000 0.0000 0.0000
11 Tl 0.6581 0.1528 0.6581
12 Tl 0.6581 0.6581 0.1528
13 Tl 0.6880 0.0000 0.3120
14 Tl 0.6880 0.3120 0.0000
15 Tl 0.8472 0.3419 0.3419
16 In 0.2861 0.2861 0.2861
17 In 0.7139 0.7139 0.7139
18 Sb 0.0970 0.0970 0.0970
19 Sb 0.9030 0.9030 0.9030

=====

Tl3InSb2: calculated XRD peak list (copper Kα), based on a crystal structure in Alexandria, relaxed with GGA-PBE.
Kinematic intensities with the Lorentz-polarization factor, no thermal factor.

Principal peaks in the range 5 to 70 degrees two-theta, low angle first:
- 24.18°, intensity 51
- 29.04°, intensity 34
- 31.22°, intensity 100
- 31.37°, intensity 43
- 31.67°, intensity 42
- 35.42°, intensity 33
- 36.51°, intensity 25
- 38.30°, intensity 47

Structural model:
a = 9.1864 Å, b = 9.1864 Å, c = 11.5683 Å
α = 120.93°, β = 120.93°, γ = 29.65°
Positions (direct):
1 Tl 0.0533 0.0533 0.2246
2 Tl 0.2353 0.2353 0.6363
3 Tl 0.3811 0.3811 0.9755
4 Tl 0.6189 0.6189 0.0245
5 Tl 0.7647 0.7647 0.3637
6 Tl 0.9467 0.9467 0.7754
7 In 0.4132 0.4132 0.3140
8 In 0.5868 0.5868 0.6860
9 Sb 0.1665 0.1665 0.8693
10 Sb 0.3893 0.3893 0.5505
11 Sb 0.6107 0.6107 0.4495
12 Sb 0.8335 0.8335 0.1307

=====

Tm6InSb2: calculated XRD peak list (copper Kα), based on a crystal structure in Alexandria, relaxed with GGA-PBE.
Kinematic intensities with the Lorentz-polarization factor, no thermal factor.

Principal peaks in the range 5 to 70 degrees two-theta, low angle first:
- 27.54°, intensity 70
- 28.03°, intensity 71
- 30.23°, intensity 62
- 30.83°, intensity 60
- 31.87°, intensity 94
- 32.40°, intensity 100
- 32.88°, intensity 59
- 35.56°, intensity 86

Structural model:
a = 6.1950 Å, b = 8.2939 Å, c = 11.5511 Å
α = 90.00°, β = 120.71°, γ = 90.00°
Positions (direct):
1 Tm 0.0757 0.0445 0.2221
2 Tm 0.0757 0.4555 0.7221
3 Tm 0.1644 0.7057 0.0558
4 Tm 0.1644 0.7943 0.5558
5 Tm 0.4125 0.1559 0.0438
6 Tm 0.4125 0.3441 0.5438
7 Tm 0.5875 0.6559 0.4562
8 Tm 0.5875 0.8441 0.9562
9 Tm 0.8356 0.2057 0.4442
10 Tm 0.8356 0.2943 0.9442
11 Tm 0.9243 0.5445 0.2779
12 Tm 0.9243 0.9555 0.7779
13 In 0.5000 0.0000 0.5000
14 In 0.5000 0.5000 0.0000
15 Sb 0.3399 0.1127 0.7361
16 Sb 0.3399 0.3873 0.2361
17 Sb 0.6601 0.6127 0.7639
18 Sb 0.6601 0.8873 0.2639

=====

Tm6InSb3: calculated XRD peak list (copper Kα), based on a crystal structure in Alexandria, relaxed with GGA-PBE.
Kinematic intensities with the Lorentz-polarization factor, no thermal factor.

Principal peaks in the range 5 to 70 degrees two-theta, low angle first:
- 30.80°, intensity 38
- 32.61°, intensity 100
- 32.96°, intensity 95
- 34.93°, intensity 49
- 35.43°, intensity 48
- 43.28°, intensity 32
- 56.78°, intensity 24
- 57.12°, intensity 24

Structural model:
a = 8.0693 Å, b = 8.0693 Å, c = 8.3622 Å
α = 90.00°, β = 90.00°, γ = 88.69°
Positions (direct):
1 Tm 0.0032 0.4987 0.7500
2 Tm 0.1602 0.8398 0.5013
3 Tm 0.1602 0.8398 0.9987
4 Tm 0.3403 0.3403 0.0000
5 Tm 0.3403 0.3403 0.5000
6 Tm 0.4987 0.0032 0.2500
7 Tm 0.5013 0.9968 0.7500
8 Tm 0.6597 0.6597 0.0000
9 Tm 0.6597 0.6597 0.5000
10 Tm 0.8398 0.1602 0.0013
11 Tm 0.8398 0.1602 0.4987
12 Tm 0.9968 0.5013 0.2500
13 In 0.3567 0.6433 0.7500
14 In 0.6433 0.3567 0.2500
15 Sb 0.1435 0.1471 0.2500
16 Sb 0.1471 0.1435 0.7500
17 Sb 0.3598 0.6402 0.2500
18 Sb 0.6402 0.3598 0.7500
19 Sb 0.8529 0.8565 0.2500
20 Sb 0.8565 0.8529 0.7500

=====

ZnIn2Sb: calculated XRD peak list (copper Kα), based on a crystal structure in Alexandria, relaxed with GGA-PBE.
Kinematic intensities with the Lorentz-polarization factor, no thermal factor.

Principal peaks in the range 5 to 70 degrees two-theta, low angle first:
- 32.69°, intensity 28
- 33.73°, intensity 100
- 41.69°, intensity 14
- 42.41°, intensity 11
- 53.96°, intensity 13
- 54.55°, intensity 11
- 59.01°, intensity 19
- 60.98°, intensity 7

Structural model:
a = 5.5110 Å, b = 5.5110 Å, c = 5.5110 Å
α = 133.70°, β = 120.38°, γ = 78.66°
Positions (direct):
1 Zn 0.0000 0.0000 0.0000
2 In 0.2320 0.7320 0.5000
3 In 0.5018 0.5018 0.0000
4 Sb 0.7774 0.2774 0.5000

=====

ScIn7: calculated XRD peak list (copper Kα), based on a crystal structure in Alexandria, relaxed with GGA-PBE.
Kinematic intensities with the Lorentz-polarization factor, no thermal factor.

Principal peaks in the range 5 to 70 degrees two-theta, low angle first:
- 16.49°, intensity 4
- 19.06°, intensity 2
- 31.87°, intensity 2
- 33.33°, intensity 100
- 38.67°, intensity 50
- 55.84°, intensity 33
- 66.61°, intensity 38
- 69.99°, intensity 11

Structural model:
a = 6.5853 Å, b = 6.5853 Å, c = 6.5853 Å
α = 60.00°, β = 60.00°, γ = 60.00°
Positions (direct):
1 Sc 0.0000 0.0000 0.0000
2 In 0.0000 0.0000 0.5000
3 In 0.0000 0.5000 0.0000
4 In 0.0000 0.5000 0.5000
5 In 0.5000 0.0000 0.0000
6 In 0.5000 0.0000 0.5000
7 In 0.5000 0.5000 0.0000
8 In 0.5000 0.5000 0.5000

=====

Sc3In7: calculated XRD peak list (copper Kα), based on a crystal structure in Alexandria, relaxed with GGA-PBE.
Kinematic intensities with the Lorentz-polarization factor, no thermal factor.

Principal peaks in the range 5 to 70 degrees two-theta, low angle first:
- 33.98°, intensity 100
- 34.79°, intensity 97
- 39.00°, intensity 34
- 40.12°, intensity 31
- 40.60°, intensity 32
- 57.56°, intensity 20
- 58.40°, intensity 20
- 68.43°, intensity 12

Structural model:
a = 8.6018 Å, b = 8.6018 Å, c = 6.3361 Å
α = 99.11°, β = 99.11°, γ = 29.94°
Positions (direct):
1 Sc 0.0000 0.0000 0.0000
2 Sc 0.1891 0.1891 0.6008
3 Sc 0.8109 0.8109 0.3992
4 In 0.0000 0.0000 0.5000
5 In 0.2081 0.2081 0.1176
6 In 0.3920 0.3920 0.7020
7 In 0.4051 0.4051 0.1967
8 In 0.5949 0.5949 0.8033
9 In 0.6080 0.6080 0.2980
10 In 0.7919 0.7919 0.8824

=====

Sc5In: calculated XRD peak list (copper Kα), based on a crystal structure in Alexandria, relaxed with GGA-PBE.
Kinematic intensities with the Lorentz-polarization factor, no thermal factor.

Principal peaks in the range 5 to 70 degrees two-theta, low angle first:
- 12.00°, intensity 20
- 31.54°, intensity 27
- 31.96°, intensity 13
- 34.71°, intensity 36
- 36.12°, intensity 100
- 36.49°, intensity 47
- 47.59°, intensity 16
- 56.69°, intensity 16

Structural model:
a = 6.1115 Å, b = 6.1115 Å, c = 7.6106 Å
α = 103.67°, β = 103.67°, γ = 31.23°
Positions (direct):
1 Sc 0.0000 0.0000 0.0000
2 Sc 0.0421 0.0421 0.6117
3 Sc 0.3909 0.3909 0.2746
4 Sc 0.6663 0.6663 0.3402
5 Sc 0.7201 0.7201 0.9395
6 In 0.3245 0.3245 0.6619

=====

Sc3In5: calculated XRD peak list (copper Kα), based on a crystal structure in Alexandria, relaxed with GGA-PBE.
Kinematic intensities with the Lorentz-polarization factor, no thermal factor.

Principal peaks in the range 5 to 70 degrees two-theta, low angle first:
- 34.48°, intensity 100
- 39.56°, intensity 17
- 39.99°, intensity 16
- 40.54°, intensity 15
- 57.51°, intensity 11
- 68.52°, intensity 12
- 69.10°, intensity 12
- 69.86°, intensity 10

Structural model:
a = 6.3360 Å, b = 6.3360 Å, c = 4.5560 Å
α = 90.00°, β = 90.00°, γ = 90.75°
Positions (direct):
1 Sc 0.0000 0.0000 0.0000
2 Sc 0.2688 0.7312 0.5000
3 Sc 0.7312 0.2688 0.5000
4 In 0.0000 0.5000 0.0000
5 In 0.2302 0.2302 0.5000
6 In 0.5000 0.0000 0.0000
7 In 0.5000 0.5000 0.0000
8 In 0.7698 0.7698 0.5000

=====

Sc5In2: calculated XRD peak list (copper Kα), based on a crystal structure in Alexandria, relaxed with GGA-PBE.
Kinematic intensities with the Lorentz-polarization factor, no thermal factor.

Principal peaks in the range 5 to 70 degrees two-theta, low angle first:
- 21.94°, intensity 32
- 25.96°, intensity 13
- 34.83°, intensity 100
- 35.78°, intensity 96
- 50.79°, intensity 32
- 61.82°, intensity 15
- 63.68°, intensity 31
- 64.29°, intensity 16

Structural model:
a = 8.0034 Å, b = 8.0034 Å, c = 8.6857 Å
α = 100.35°, β = 100.35°, γ = 36.58°
Positions (direct):
1 Sc 0.0225 0.5237 0.6744
2 Sc 0.1082 0.6075 0.0357
3 Sc 0.2504 0.7496 0.7500
4 Sc 0.3925 0.8918 0.4643
5 Sc 0.4763 0.9775 0.8256
6 Sc 0.5237 0.0225 0.1744
7 Sc 0.6075 0.1082 0.5357
8 Sc 0.7496 0.2504 0.2500
9 Sc 0.8918 0.3925 0.9643
10 Sc 0.9775 0.4763 0.3256
11 In 0.1739 0.6748 0.3914
12 In 0.3252 0.8261 0.1086
13 In 0.6748 0.1739 0.8914
14 In 0.8261 0.3252 0.6086

=====

Sc3In: calculated XRD peak list (copper Kα), based on a crystal structure in Alexandria, relaxed with GGA-PBE.
Kinematic intensities with the Lorentz-polarization factor, no thermal factor.

Principal peaks in the range 5 to 70 degrees two-theta, low angle first:
- 14.00°, intensity 29
- 33.57°, intensity 100
- 34.73°, intensity 91
- 39.30°, intensity 63
- 40.33°, intensity 29
- 57.58°, intensity 38
- 66.91°, intensity 24
- 69.02°, intensity 32

Structural model:
a = 3.3269 Å, b = 4.4731 Å, c = 6.3265 Å
α = 90.00°, β = 90.00°, γ = 90.00°
Positions (direct):
1 Sc 0.0000 0.0000 0.0000
2 Sc 0.5000 0.5000 0.2469
3 Sc 0.5000 0.5000 0.7531
4 In 0.0000 0.0000 0.5000

=====

ScIn3Se: calculated XRD peak list (copper Kα), based on a crystal structure in Alexandria, relaxed with GGA-PBE.
Kinematic intensities with the Lorentz-polarization factor, no thermal factor.

Principal peaks in the range 5 to 70 degrees two-theta, low angle first:
- 16.37°, intensity 56
- 28.56°, intensity 87
- 33.09°, intensity 100
- 37.13°, intensity 30
- 47.50°, intensity 71
- 50.58°, intensity 15
- 56.37°, intensity 36
- 59.11°, intensity 24

Structural model:
a = 5.4138 Å, b = 5.4138 Å, c = 5.4138 Å
α = 90.00°, β = 90.00°, γ = 90.00°
Positions (direct):
1 Sc 0.0000 0.0000 0.0000
2 In 0.0000 0.5000 0.5000
3 In 0.5000 0.0000 0.5000
4 In 0.5000 0.5000 0.0000
5 Se 0.5000 0.5000 0.5000

=====

Sc3InSe: calculated XRD peak list (copper Kα), based on a crystal structure in Alexandria, relaxed with GGA-PBE.
Kinematic intensities with the Lorentz-polarization factor, no thermal factor.

Principal peaks in the range 5 to 70 degrees two-theta, low angle first:
- 29.18°, intensity 52
- 30.81°, intensity 56
- 35.55°, intensity 62
- 35.61°, intensity 100
- 38.04°, intensity 51
- 38.33°, intensity 45
- 39.23°, intensity 81
- 45.18°, intensity 49

Structural model:
a = 6.6124 Å, b = 4.0139 Å, c = 8.5500 Å
α = 90.00°, β = 100.73°, γ = 90.00°
Positions (direct):
1 Sc 0.0336 0.2500 0.1960
2 Sc 0.3388 0.7500 0.4177
3 Sc 0.4618 0.7500 0.8203
4 Sc 0.5382 0.2500 0.1797
5 Sc 0.6612 0.2500 0.5823
6 Sc 0.9664 0.7500 0.8040
7 In 0.1634 0.2500 0.6156
8 In 0.8366 0.7500 0.3844
9 Se 0.2599 0.7500 0.0793
10 Se 0.7401 0.2500 0.9207